# PmS2Br2O6
Calculated X-ray powder pattern, Cu Kα, 1.54184 Å. Input: the GGA-PBE geometry in Alexandria.

Structural model:
a b c (Å): 6.2674 6.2674 6.5896
angles (deg): 90.00 90.00 120.00
Fractional positions:
Pm: 0.0000 0.0000 0.0000
S: 0.3333 0.6667 0.9267
S: 0.6667 0.3333 0.0733
Br: 0.3333 0.6667 0.3068
Br: 0.6667 0.3333 0.6932
O: 0.2030 0.4060 0.8550
O: 0.2030 0.7970 0.8550
O: 0.4060 0.2030 0.1450
O: 0.5940 0.7970 0.8550
O: 0.7970 0.2030 0.1450
O: 0.7970 0.5940 0.1450

The 12 most intense peaks (15° ≤ 2θ ≤ 90°), in order of rising 2θ:
2θ = 21.21°, 4.189 Å, intensity 76, (0 1 1); 2θ = 28.48°, 3.134 Å, intensity 100, (1 1 0); 2θ = 31.62°, 2.830 Å, intensity 22, (1 1 1); 2θ = 31.77°, 2.816 Å, intensity 81, (1 0 2); 2θ = 35.78°, 2.509 Å, intensity 34, (2 0 1); 2θ = 43.19°, 2.095 Å, intensity 22, (0 2 2); 2θ = 46.35°, 1.959 Å, intensity 35, (1 2 1); 2θ = 50.44°, 1.809 Å, intensity 17, (3 0 0); 2θ = 50.76°, 1.799 Å, intensity 31, (1 1 3); 2θ = 52.55°, 1.741 Å, intensity 27, (2 1 2); 2θ = 58.95°, 1.567 Å, intensity 16, (2 2 0); 2θ = 81.18°, 1.185 Å, intensity 17, (4 1 0)